[1]
This entry pairs a crystal structure of Ta6O with its simulated powder X-ray diffraction pattern. Radiation: λ = 1.5418 Å (Cu Kα). Structure: DFT lattice parameters and positions (PBE).
Peak positions follow from Bragg's law for the DFT cell and can differ from measured ones.

Peak list (10 most intense, 2θ = 10–80°, in order of falling intensity)
| 2theta | Rel. int. |
| --- | --- |
| 39.25 | 100 |
| 37.76 | 98 |
| 39.11 | 79 |
| 38.25 | 76 |
| 36.82 | 59 |
| 38.77 | 57 |
| 34.24 | 52 |
| 36.96 | 49 |
| 34.72 | 49 |
| 40.44 | 40 |

Cell and atoms:
```
Ta6O
1.0
5.298 0.000 0.000
-1.048 7.254 0.000
-2.438 -3.424 6.009
Ta O
12 2
Direct
0.000 0.000 0.000 Ta
0.000 0.149 0.438 Ta
0.000 0.851 0.562 Ta
0.070 0.589 0.772 Ta
0.283 0.332 0.966 Ta
0.360 0.836 0.277 Ta
0.490 0.694 0.618 Ta
0.500 0.000 0.000 Ta
0.510 0.306 0.382 Ta
0.640 0.164 0.723 Ta
0.717 0.668 0.034 Ta
0.930 0.411 0.228 Ta
0.389 0.402 0.709 O
0.611 0.598 0.291 O
```

[2]
This entry pairs a crystal structure of KNaAgAs with its simulated powder X-ray diffraction pattern. Radiation: λ = 1.5418 Å (Cu Kα). Structure: DFT lattice parameters and positions (PBE).
Peak positions follow from Bragg's law for the DFT cell and can differ from measured ones.

Peak list (10 most intense, 2θ = 10–80°, in order of falling intensity)
| 2theta | Rel. int. |
| --- | --- |
| 18.89 | 100 |
| 14.91 | 99 |
| 34.29 | 80 |
| 43.52 | 63 |
| 34.55 | 62 |
| 38.83 | 56 |
| 30.84 | 52 |
| 36.44 | 50 |
| 21.36 | 37 |
| 55.69 | 31 |

Cell and atoms:
```
KNaAgAs
1.0
4.698 -3.833 0.000
4.698 3.833 0.000
-0.011 0.000 5.826
K Na Ag As
2 2 2 2
Direct
0.174 0.174 0.001 K
0.826 0.826 0.999 K
0.116 0.534 0.502 Na
0.466 0.884 0.498 Na
0.638 0.362 0.252 Ag
0.638 0.362 0.748 Ag
0.366 0.634 0.000 As
0.914 0.086 0.500 As
```

[3]
This entry pairs a crystal structure of NdF3 with its simulated powder X-ray diffraction pattern. Radiation: λ = 1.5418 Å (Cu Kα). Structure: DFT lattice parameters and positions (PBE).
Peak positions follow from Bragg's law for the DFT cell and can differ from measured ones.

Peak list (10 most intense, 2θ = 10–80°, in order of falling intensity)
| 2theta | Rel. int. |
| --- | --- |
| 28.62 | 100 |
| 46.34 | 53 |
| 45.27 | 43 |
| 25.00 | 38 |
| 52.41 | 32 |
| 25.68 | 27 |
| 54.44 | 18 |
| 73.42 | 16 |
| 66.79 | 15 |
| 70.79 | 12 |

Cell and atoms:
```
NdF3
1.0
6.939 0.000 0.000
-3.469 6.009 0.000
0.000 0.000 7.124
Nd F
6 18
Direct
0.000 0.343 0.250 Nd
0.000 0.657 0.750 Nd
0.343 0.000 0.250 Nd
0.343 0.343 0.750 Nd
0.657 0.000 0.750 Nd
0.657 0.657 0.250 Nd
0.000 0.000 0.250 F
0.000 0.000 0.750 F
0.058 0.368 0.581 F
0.058 0.690 0.081 F
0.310 0.368 0.081 F
0.310 0.942 0.581 F
0.333 0.667 0.323 F
0.333 0.667 0.823 F
0.368 0.058 0.919 F
0.368 0.310 0.419 F
0.632 0.690 0.581 F
0.632 0.942 0.081 F
0.667 0.333 0.177 F
0.667 0.333 0.677 F
0.690 0.058 0.419 F
0.690 0.632 0.919 F
0.942 0.310 0.919 F
0.942 0.632 0.419 F
```

[4]
This entry pairs a crystal structure of Ta4Ni5Sn5 with its simulated powder X-ray diffraction pattern. Radiation: λ = 1.5418 Å (Cu Kα). Structure: DFT lattice parameters and positions (PBE).
Peak positions follow from Bragg's law for the DFT cell and can differ from measured ones.

Peak list (10 most intense, 2θ = 10–80°, in order of falling intensity)
| 2theta | Rel. int. |
| --- | --- |
| 42.95 | 100 |
| 30.04 | 34 |
| 78.76 | 20 |
| 29.93 | 17 |
| 25.91 | 16 |
| 53.28 | 14 |
| 70.80 | 11 |
| 78.59 | 10 |
| 62.44 | 10 |
| 70.60 | 7 |

Cell and atoms:
```
Ta4Ni5Sn5
1.0
-4.703 4.703 2.985
4.703 -4.703 2.985
4.703 4.703 -2.985
Ta Ni Sn
4 5 5
Direct
0.095 0.696 0.799 Ta
0.304 0.103 0.399 Ta
0.704 0.905 0.601 Ta
0.897 0.296 0.201 Ta
0.014 0.335 0.894 Ni
0.250 0.750 0.500 Ni
0.441 0.120 0.106 Ni
0.665 0.559 0.679 Ni
0.880 0.986 0.321 Ni
0.000 0.000 0.000 Sn
0.225 0.417 0.629 Sn
0.404 0.775 0.192 Sn
0.583 0.211 0.808 Sn
0.789 0.596 0.371 Sn
```